Starting from a DFT-relaxed cell (GGA-PBE, Alexandria), the powder XRD pattern of Rb2TlSnF6 was simulated for Cu Kα.
Neutral-atom scattering factors, no anomalous dispersion.

Cell and atoms:
```
data_Rb2TlSnF6
_chemical_formula_sum 'Rb4 Tl2 Sn2 F12'
_cell_length_a 12.1708
_cell_length_b 12.1708
_cell_length_c 12.1708
_cell_angle_alpha 32.89
_cell_angle_beta 32.89
_cell_angle_gamma 32.89
_space_group_name_H-M_alt 'P 1'
_space_group_IT_number 1
_space_group_name_Hall 'P 1'
loop_
_atom_site_label
_atom_site_type_symbol
_atom_site_fract_x
_atom_site_fract_y
_atom_site_fract_z
Rb1 Rb 0.1452 0.1452 0.1452
Rb2 Rb 0.2619 0.2619 0.2619
Rb3 Rb 0.7381 0.7381 0.7381
Rb4 Rb 0.8548 0.8548 0.8548
Tl1 Tl 0.4038 0.4038 0.4038
Tl2 Tl 0.5962 0.5962 0.5962
Sn1 Sn 0.0000 0.0000 0.0000
Sn2 Sn 0.5000 0.5000 0.5000
F1 F 0.1286 0.6261 0.6261
F2 F 0.1702 0.1702 0.7623
F3 F 0.1702 0.7623 0.1702
F4 F 0.2377 0.8298 0.8298
F5 F 0.3739 0.3739 0.8714
F6 F 0.3739 0.8714 0.3739
F7 F 0.6261 0.1286 0.6261
F8 F 0.6261 0.6261 0.1286
F9 F 0.7623 0.1702 0.1702
F10 F 0.8298 0.2377 0.8298
F11 F 0.8298 0.8298 0.2377
F12 F 0.8714 0.3739 0.3739
```

Main lines, most intense first (2θ from 10° to 90°):
25.86°, intensity 100
19.67°, intensity 32
25.48°, intensity 31
40.88°, intensity 28
23.41°, intensity 24
53.16°, intensity 22
35.01°, intensity 22
45.60°, intensity 21
35.15°, intensity 21
15.07°, intensity 20